Diffraction record for FeSiC3. The powder X-ray diffraction pattern is theoretical, not measured: it uses a PBE-relaxed structure and copper Kα.

The 8 most intense peaks (2θ from 5° to 70°), in order of falling intensity:
- (1 0 -1), 34.9 deg, 2.573 Å, I = 100.0
- (1 0 1), 37.2 deg, 2.415 Å, I = 78.5
- (0 0 1), 20.2 deg, 4.392 Å, I = 76.3
- (0 1 1), 36.3 deg, 2.473 Å, I = 67.6
- (0 1 -1), 30.4 deg, 2.943 Å, I = 67.6
- (0 0 2), 41.1 deg, 2.196 Å, I = 38.3
- (1 -2 0), 58.6 deg, 1.576 Å, I = 29.2
- (1 -1 0), 36.9 deg, 2.438 Å, I = 29.0

Atomic structure:
```
data_FeSiC3
_space_group_name_H-M_alt 'P 1'
_space_group_IT_number 1
_space_group_name_Hall 'P 1'
_cell_length_a 3.0595
_cell_length_b 3.4662
_cell_length_c 4.4670
_cell_angle_alpha 99.82
_cell_angle_beta 92.43
_cell_angle_gamma 97.89
loop_
_atom_site_label
_atom_site_fract_x
_atom_site_fract_y
_atom_site_fract_z
_atom_site_occupancy
Fe1 0.0000 0.0000 0.0000 1
Si1 0.5404 0.3574 0.4759 1
C1 0.0657 0.4166 0.7265 1
C2 0.1825 0.5287 0.0570 1
C3 0.5129 0.8195 0.2486 1
```